Entry 1:
# LiZnCo4
Theoretical powder XRD pattern, a wavelength of 1.5418 Å. Input: a crystal structure in OQMD, relaxed with GGA-PBE.
Neutral-atom scattering factors, no anomalous dispersion.

Principal peaks in the range 2θ = 15–90°, sorted by position:
- 2θ 19.2, I 18.6
- 2θ 26.6, I 32.7
- 2θ 27.9, I 19.8
- 2θ 35.1, I 19.0
- 2θ 36.1, I 100.0
- 2θ 42.9, I 48.4
- 2θ 46.0, I 35.1
- 2θ 49.0, I 24.2
- 2θ 64.7, I 25.9
- 2θ 64.9, I 44.8

```
LiZnCo4
1.0
3.199 -3.352 0.000
3.199 3.352 0.000
0.000 0.000 3.945
Li Zn Co
1 1 4
Direct
0.000 0.000 0.000
0.500 0.500 0.500
0.162 0.838 0.500
0.319 0.319 0.000
0.681 0.681 0.000
0.838 0.162 0.500
```

***

Entry 2:
# LiZrCo2
Theoretical powder XRD pattern, a wavelength of 1.5418 Å. Input: a crystal structure in OQMD, relaxed with GGA-PBE.
Neutral-atom scattering factors, no anomalous dispersion.

Principal peaks in the range 2θ = 15–90°, sorted by position:
- 2θ 25.9, I 22.9
- 2θ 30.0, I 21.5
- 2θ 42.9, I 100.0
- 2θ 50.8, I 10.2
- 2θ 53.3, I 5.5
- 2θ 62.3, I 15.5
- 2θ 68.7, I 3.9
- 2θ 70.7, I 6.8
- 2θ 78.7, I 30.2
- 2θ 84.5, I 2.9

```
LiZrCo2
1.0
0.000 2.979 2.979
2.979 0.000 2.979
2.979 2.979 0.000
Li Zr Co
1 1 2
Direct
0.000 0.000 0.000
0.250 0.250 0.250
0.500 0.500 0.500
0.750 0.750 0.750
```

***

Entry 3:
# Lu2Co3Mo4N3
Theoretical powder XRD pattern, a wavelength of 1.5418 Å. Input: a crystal structure in OQMD, relaxed with GGA-PBE.
Neutral-atom scattering factors, no anomalous dispersion.

Principal peaks in the range 2θ = 15–90°, sorted by position:
- 2θ 27.8, I 20.3
- 2θ 33.9, I 18.3
- 2θ 34.5, I 21.0
- 2θ 34.7, I 45.2
- 2θ 38.1, I 16.5
- 2θ 40.0, I 100.0
- 2θ 40.2, I 51.4
- 2θ 42.2, I 16.9
- 2θ 44.3, I 24.6
- 2θ 60.5, I 19.9

```
Lu2Co3Mo4N3
1.0
4.568 -2.654 0.000
4.568 2.654 0.000
-2.975 0.000 12.857
Lu Co Mo N
4 6 8 6
Direct
0.040 0.878 0.625
0.122 0.960 0.875
0.878 0.040 0.125
0.960 0.122 0.375
0.088 0.408 0.750
0.408 0.088 0.250
0.419 0.581 0.250
0.581 0.419 0.750
0.592 0.912 0.750
0.912 0.592 0.250
0.198 0.364 0.086
0.312 0.466 0.414
0.364 0.198 0.586
0.466 0.312 0.914
0.534 0.688 0.086
0.636 0.802 0.414
0.688 0.534 0.586
0.802 0.636 0.914
0.000 0.500 0.500
0.153 0.691 0.000
0.309 0.847 0.500
0.500 0.000 0.000
0.691 0.153 0.500
0.847 0.309 0.000
```

***

Entry 4:
# Lu4Co3Mo2N3
Theoretical powder XRD pattern, a wavelength of 1.5418 Å. Input: a crystal structure in OQMD, relaxed with GGA-PBE.
Neutral-atom scattering factors, no anomalous dispersion.

Principal peaks in the range 2θ = 15–90°, sorted by position:
- 2θ 26.5, I 22.3
- 2θ 32.7, I 21.9
- 2θ 33.2, I 29.3
- 2θ 33.5, I 68.8
- 2θ 38.2, I 41.5
- 2θ 38.7, I 100.0
- 2θ 42.2, I 30.3
- 2θ 42.7, I 23.7
- 2θ 42.8, I 22.1
- 2θ 58.5, I 29.8

```
Lu4Co3Mo2N3
1.0
4.760 -2.726 0.000
4.760 2.726 0.000
-2.953 0.000 13.462
Lu Co Mo N
8 6 4 6
Direct
0.005 0.216 0.092
0.131 0.309 0.408
0.216 0.005 0.592
0.309 0.131 0.908
0.691 0.869 0.092
0.784 0.995 0.408
0.869 0.691 0.592
0.995 0.784 0.908
0.037 0.402 0.750
0.169 0.831 0.750
0.402 0.037 0.250
0.598 0.963 0.750
0.831 0.169 0.250
0.963 0.598 0.250
0.367 0.569 0.153
0.431 0.633 0.347
0.569 0.367 0.653
0.633 0.431 0.847
0.000 0.500 0.000
0.167 0.669 0.491
0.331 0.833 0.009
0.500 0.000 0.500
0.669 0.167 0.991
0.833 0.331 0.509
```

***

Entry 5:
# Lu4CoN3
Theoretical powder XRD pattern, a wavelength of 1.5418 Å. Input: a crystal structure in OQMD, relaxed with GGA-PBE.
Neutral-atom scattering factors, no anomalous dispersion.

Principal peaks in the range 2θ = 15–90°, sorted by position:
- 2θ 29.7, I 26.9
- 2θ 31.9, I 51.7
- 2θ 33.0, I 22.6
- 2θ 34.5, I 19.7
- 2θ 36.3, I 64.4
- 2θ 38.4, I 100.0
- 2θ 55.1, I 46.7
- 2θ 55.8, I 24.7
- 2θ 63.8, I 20.1
- 2θ 68.5, I 18.3

```
Lu4CoN3
1.0
3.333 0.000 0.000
-1.666 2.886 0.000
0.000 0.000 24.099
Lu Co N
8 2 6
Direct
0.000 0.000 0.169
0.000 0.000 0.331
0.000 0.000 0.669
0.000 0.000 0.831
0.333 0.667 0.056
0.333 0.667 0.444
0.667 0.333 0.556
0.667 0.333 0.944
0.333 0.667 0.250
0.667 0.333 0.750
0.000 0.000 0.000
0.000 0.000 0.500
0.333 0.667 0.615
0.333 0.667 0.885
0.667 0.333 0.115
0.667 0.333 0.385
```

***

Entry 6:
# Lu4CoSiN2
Theoretical powder XRD pattern, a wavelength of 1.5418 Å. Input: a crystal structure in OQMD, relaxed with GGA-PBE.
Neutral-atom scattering factors, no anomalous dispersion.

Principal peaks in the range 2θ = 15–90°, sorted by position:
- 2θ 25.8, I 16.0
- 2θ 30.9, I 25.3
- 2θ 31.6, I 26.1
- 2θ 36.7, I 100.0
- 2θ 40.7, I 13.6
- 2θ 50.7, I 13.2
- 2θ 54.9, I 24.5
- 2θ 56.5, I 12.8
- 2θ 67.9, I 18.0
- 2θ 69.5, I 13.8

```
Lu4CoSiN2
1.0
3.343 0.000 0.000
-1.672 2.895 0.000
0.000 0.000 13.794
Lu Co Si N
4 1 1 2
Direct
0.000 0.000 0.141
0.000 0.000 0.859
0.667 0.333 0.338
0.667 0.333 0.662
0.667 0.333 0.000
0.000 0.000 0.500
0.333 0.667 0.250
0.333 0.667 0.750
```